Record 1
Simulated X-ray diffraction stick pattern
Compound: DyHo2Er2In
Radiation: Cu Kα (weighted mean of Kα1 and Kα2)
Structure: the PBE geometry in Alexandria
Kinematic intensities with the Lorentz-polarization factor, no thermal factor.

Crystal structure
a = 6.588 Å, b = 9.907 Å, c = 5.386 Å
α = 90.00°, β = 90.00°, γ = 90.00°
Positions (direct):
Dy 0.000 0.000 0.000
Dy 0.500 0.500 0.500
Ho 0.228 0.184 0.500
Ho 0.272 0.684 0.000
Ho 0.728 0.316 0.000
Ho 0.772 0.816 0.500
Er 0.218 0.358 0.000
Er 0.282 0.858 0.500
Er 0.718 0.142 0.500
Er 0.782 0.642 0.000
In 0.000 0.500 0.500
In 0.500 0.000 0.000

Most intense lines, 2θ from 5° to 70°, by angle:
2θ 31.78, d = 2.815 Å, rel. 100
2θ 32.65, d = 2.743 Å, rel. 37
2θ 33.14, d = 2.704 Å, rel. 81
2θ 33.27, d = 2.693 Å, rel. 50
2θ 45.84, d = 1.980 Å, rel. 16
2θ 47.30, d = 1.922 Å, rel. 26
2θ 57.80, d = 1.595 Å, rel. 16
2θ 58.51, d = 1.577 Å, rel. 18
2θ 59.36, d = 1.557 Å, rel. 15
2θ 65.68, d = 1.422 Å, rel. 18

=====

Record 2
Simulated X-ray diffraction stick pattern
Compound: ThMg2Al10
Radiation: Cu Kα (weighted mean of Kα1 and Kα2)
Structure: the PBE geometry in Alexandria
Kinematic intensities with the Lorentz-polarization factor, no thermal factor.

Crystal structure
a = 9.365 Å, b = 7.308 Å, c = 7.055 Å
α = 81.37°, β = 50.49°, γ = 48.14°
Positions (direct):
Th 0.000 0.000 0.000
Mg 0.000 0.500 0.000
Mg 0.500 0.000 0.500
Al 0.000 0.000 0.500
Al 0.009 0.643 0.357
Al 0.287 0.505 0.495
Al 0.357 0.991 0.009
Al 0.495 0.713 0.287
Al 0.500 0.500 0.000
Al 0.505 0.287 0.713
Al 0.643 0.009 0.991
Al 0.713 0.495 0.505
Al 0.991 0.357 0.643

Most intense lines, 2θ from 5° to 70°, by angle:
2θ 13.10, d = 6.758 Å, rel. 44
2θ 13.66, d = 6.484 Å, rel. 29
2θ 18.55, d = 4.782 Å, rel. 68
2θ 18.97, d = 4.678 Å, rel. 28
2θ 26.37, d = 3.380 Å, rel. 53
2θ 26.94, d = 3.309 Å, rel. 43
2θ 32.92, d = 2.721 Å, rel. 53
2θ 37.63, d = 2.390 Å, rel. 100
2θ 38.48, d = 2.339 Å, rel. 32
2θ 38.89, d = 2.316 Å, rel. 44

=====

Record 3
Simulated X-ray diffraction stick pattern
Compound: LiAcAlHg2
Radiation: Cu Kα (weighted mean of Kα1 and Kα2)
Structure: the PBE geometry in Alexandria
Kinematic intensities with the Lorentz-polarization factor, no thermal factor.

Crystal structure
a = 6.608 Å, b = 6.608 Å, c = 6.608 Å
α = 139.16°, β = 139.16°, γ = 59.14°
Positions (direct):
Li 0.000 0.000 0.000
Ac 0.750 0.250 0.500
Al 0.500 0.500 0.000
Hg 0.123 0.623 0.500
Hg 0.377 0.877 0.500

Most intense lines, 2θ from 5° to 70°, by angle:
2θ 15.42, d = 5.748 Å, rel. 14
2θ 27.35, d = 3.261 Å, rel. 84
2θ 30.33, d = 2.947 Å, rel. 100
2θ 31.55, d = 2.836 Å, rel. 20
2θ 39.07, d = 2.306 Å, rel. 41
2θ 44.01, d = 2.057 Å, rel. 32
2θ 50.24, d = 1.816 Å, rel. 51
2θ 56.44, d = 1.630 Å, rel. 14
2θ 60.29, d = 1.535 Å, rel. 26
2θ 63.83, d = 1.458 Å, rel. 16

=====

Record 4
Simulated X-ray diffraction stick pattern
Compound: K3PdAu4
Radiation: Cu Kα (weighted mean of Kα1 and Kα2)
Structure: the PBE geometry in Alexandria
Kinematic intensities with the Lorentz-polarization factor, no thermal factor.

Crystal structure
a = 6.413 Å, b = 6.413 Å, c = 7.555 Å
α = 111.20°, β = 111.20°, γ = 80.64°
Positions (direct):
K 0.000 0.000 0.000
K 0.276 0.276 0.694
K 0.724 0.724 0.306
Pd 0.500 0.500 0.500
Au 0.179 0.523 0.166
Au 0.477 0.821 0.834
Au 0.523 0.179 0.166
Au 0.821 0.477 0.834

Most intense lines, 2θ from 5° to 70°, by angle:
2θ 13.31, d = 6.651 Å, rel. 30
2θ 14.83, d = 5.975 Å, rel. 49
2θ 16.36, d = 5.419 Å, rel. 22
2θ 18.49, d = 4.798 Å, rel. 100
2θ 29.47, d = 3.031 Å, rel. 26
2θ 33.05, d = 2.710 Å, rel. 28
2θ 37.49, d = 2.399 Å, rel. 20
2θ 38.55, d = 2.335 Å, rel. 54
2θ 40.49, d = 2.228 Å, rel. 29
2θ 41.44, d = 2.179 Å, rel. 21

=====

Record 5
Simulated X-ray diffraction stick pattern
Compound: NpCdCl5
Radiation: Cu Kα (weighted mean of Kα1 and Kα2)
Structure: the PBE geometry in Alexandria
Kinematic intensities with the Lorentz-polarization factor, no thermal factor.

Crystal structure
a = 7.442 Å, b = 7.442 Å, c = 10.431 Å
α = 111.50°, β = 111.50°, γ = 85.82°
Positions (direct):
Np 0.000 0.500 0.000
Np 0.500 0.000 0.500
Cd 0.138 0.862 0.750
Cd 0.862 0.138 0.250
Cl 0.163 0.185 0.474
Cl 0.175 0.582 0.837
Cl 0.185 0.163 0.974
Cl 0.309 0.691 0.250
Cl 0.418 0.825 0.663
Cl 0.582 0.175 0.337
Cl 0.691 0.309 0.750
Cl 0.815 0.837 0.026
Cl 0.825 0.418 0.163
Cl 0.837 0.815 0.526

Most intense lines, 2θ from 5° to 70°, by angle:
2θ 12.98, d = 6.823 Å, rel. 41
2θ 17.50, d = 5.067 Å, rel. 32
2θ 18.82, d = 4.716 Å, rel. 100
2θ 19.23, d = 4.615 Å, rel. 55
2θ 26.41, d = 3.374 Å, rel. 18
2θ 28.13, d = 3.172 Å, rel. 28
2θ 33.64, d = 2.664 Å, rel. 20
2θ 38.16, d = 2.358 Å, rel. 18
2θ 39.06, d = 2.306 Å, rel. 18
2θ 40.84, d = 2.210 Å, rel. 16

=====

Record 6
Simulated X-ray diffraction stick pattern
Compound: DyEr6In6
Radiation: Cu Kα (weighted mean of Kα1 and Kα2)
Structure: the PBE geometry in Alexandria
Kinematic intensities with the Lorentz-polarization factor, no thermal factor.

Crystal structure
a = 6.220 Å, b = 6.220 Å, c = 10.660 Å
α = 90.00°, β = 90.00°, γ = 120.00°
Positions (direct):
Dy 0.000 0.000 0.000
Er 0.000 0.000 0.340
Er 0.000 0.000 0.660
Er 0.333 0.667 0.000
Er 0.333 0.667 0.500
Er 0.667 0.333 0.000
Er 0.667 0.333 0.500
In 0.000 0.500 0.246
In 0.000 0.500 0.754
In 0.500 0.000 0.246
In 0.500 0.000 0.754
In 0.500 0.500 0.246
In 0.500 0.500 0.754

Most intense lines, 2θ from 5° to 70°, by angle:
2θ 28.70, d = 3.110 Å, rel. 51
2θ 30.13, d = 2.966 Å, rel. 28
2θ 33.33, d = 2.688 Å, rel. 100
2θ 33.63, d = 2.665 Å, rel. 23
2θ 37.41, d = 2.404 Å, rel. 62
2θ 37.66, d = 2.389 Å, rel. 22
2θ 38.47, d = 2.340 Å, rel. 14
2θ 53.88, d = 1.702 Å, rel. 18
2θ 59.44, d = 1.555 Å, rel. 27
2θ 59.96, d = 1.543 Å, rel. 29

=====

Record 7
Simulated X-ray diffraction stick pattern
Compound: Tm4Ga6Rh7
Radiation: Cu Kα (weighted mean of Kα1 and Kα2)
Structure: the PBE geometry in Alexandria
Kinematic intensities with the Lorentz-polarization factor, no thermal factor.

Crystal structure
a = 7.241 Å, b = 7.241 Å, c = 7.241 Å
α = 109.47°, β = 109.47°, γ = 109.47°
Positions (direct):
Tm 0.000 0.000 0.500
Tm 0.000 0.500 0.000
Tm 0.500 0.000 0.000
Tm 0.500 0.500 0.500
Ga 0.000 0.315 0.315
Ga 0.000 0.685 0.685
Ga 0.315 0.000 0.315
Ga 0.315 0.315 0.000
Ga 0.685 0.000 0.685
Ga 0.685 0.685 0.000
Rh 0.000 0.000 0.000
Rh 0.250 0.500 0.750
Rh 0.250 0.750 0.500
Rh 0.500 0.250 0.750
Rh 0.500 0.750 0.250
Rh 0.750 0.250 0.500
Rh 0.750 0.500 0.250

Most intense lines, 2θ from 5° to 70°, by angle:
2θ 30.23, d = 2.956 Å, rel. 30
2θ 37.25, d = 2.414 Å, rel. 100
2θ 40.36, d = 2.235 Å, rel. 19
2θ 43.29, d = 2.090 Å, rel. 63
2θ 46.06, d = 1.971 Å, rel. 8
2θ 48.71, d = 1.870 Å, rel. 6
2θ 51.25, d = 1.783 Å, rel. 13
2θ 53.71, d = 1.707 Å, rel. 6
2θ 62.88, d = 1.478 Å, rel. 34
2θ 67.18, d = 1.393 Å, rel. 6

=====

Record 8
Simulated X-ray diffraction stick pattern
Compound: Tl3Pd8Pb2
Radiation: Cu Kα (weighted mean of Kα1 and Kα2)
Structure: the PBE geometry in Alexandria
Kinematic intensities with the Lorentz-polarization factor, no thermal factor.

Crystal structure
a = 10.586 Å, b = 10.586 Å, c = 10.586 Å
α = 30.13°, β = 30.13°, γ = 30.13°
Positions (direct):
Tl 0.000 0.000 0.000
Tl 0.187 0.187 0.187
Tl 0.813 0.813 0.813
Pd 0.223 0.727 0.727
Pd 0.273 0.273 0.777
Pd 0.273 0.777 0.273
Pd 0.277 0.277 0.277
Pd 0.723 0.723 0.723
Pd 0.727 0.223 0.727
Pd 0.727 0.727 0.223
Pd 0.777 0.273 0.273
Pb 0.367 0.367 0.367
Pb 0.633 0.633 0.633

Most intense lines, 2θ from 5° to 70°, by angle:
2θ 23.75, d = 3.746 Å, rel. 34
2θ 32.54, d = 2.751 Å, rel. 77
2θ 33.77, d = 2.655 Å, rel. 18
2θ 37.22, d = 2.416 Å, rel. 41
2θ 37.73, d = 2.384 Å, rel. 100
2θ 38.24, d = 2.354 Å, rel. 44
2θ 40.69, d = 2.217 Å, rel. 47
2θ 42.43, d = 2.130 Å, rel. 20
2θ 61.52, d = 1.507 Å, rel. 49
2θ 68.17, d = 1.376 Å, rel. 32

=====

Record 9
Simulated X-ray diffraction stick pattern
Compound: LaCeMgGe
Radiation: Cu Kα (weighted mean of Kα1 and Kα2)
Structure: the PBE geometry in Alexandria
Kinematic intensities with the Lorentz-polarization factor, no thermal factor.

Crystal structure
a = 5.326 Å, b = 5.326 Å, c = 5.326 Å
α = 60.00°, β = 60.00°, γ = 60.00°
Positions (direct):
La 0.000 0.000 0.000
Ce 0.500 0.500 0.500
Mg 0.250 0.250 0.250
Ge 0.750 0.750 0.750

Most intense lines, 2θ from 5° to 70°, by angle:
2θ 20.42, d = 4.348 Å, rel. 4
2θ 23.63, d = 3.766 Å, rel. 26
2θ 33.66, d = 2.663 Å, rel. 100
2θ 39.69, d = 2.271 Å, rel. 2
2θ 41.54, d = 2.174 Å, rel. 8
2θ 48.34, d = 1.883 Å, rel. 18
2θ 53.00, d = 1.728 Å, rel. 1
2θ 54.49, d = 1.684 Å, rel. 11
2θ 60.19, d = 1.537 Å, rel. 37
2θ 64.26, d = 1.449 Å, rel. 1

=====

Record 10
Simulated X-ray diffraction stick pattern
Compound: AcHo2Er7
Radiation: Cu Kα (weighted mean of Kα1 and Kα2)
Structure: the PBE geometry in Alexandria
Kinematic intensities with the Lorentz-polarization factor, no thermal factor.

Crystal structure
a = 9.465 Å, b = 9.465 Å, c = 9.465 Å
α = 146.71°, β = 136.19°, γ = 56.11°
Positions (direct):
Ac 0.000 0.000 0.000
Ho 0.300 0.800 0.500
Ho 0.700 0.200 0.500
Er 0.143 0.388 0.755
Er 0.204 0.204 0.000
Er 0.367 0.612 0.755
Er 0.500 0.000 0.500
Er 0.633 0.388 0.245
Er 0.796 0.796 0.000
Er 0.857 0.612 0.245

Most intense lines, 2θ from 5° to 70°, by angle:
2θ 30.68, d = 2.914 Å, rel. 92
2θ 31.45, d = 2.845 Å, rel. 100
2θ 33.04, d = 2.711 Å, rel. 47
2θ 33.22, d = 2.697 Å, rel. 49
2θ 47.56, d = 1.912 Å, rel. 36
2θ 57.55, d = 1.602 Å, rel. 16
2θ 58.02, d = 1.590 Å, rel. 18
2θ 58.72, d = 1.572 Å, rel. 22
2θ 61.84, d = 1.500 Å, rel. 29
2θ 62.80, d = 1.480 Å, rel. 15

=====

Record 11
Simulated X-ray diffraction stick pattern
Compound: LaGa3Pd
Radiation: Cu Kα (weighted mean of Kα1 and Kα2)
Structure: the PBE geometry in Alexandria
Kinematic intensities with the Lorentz-polarization factor, no thermal factor.

Crystal structure
a = 6.123 Å, b = 6.123 Å, c = 6.009 Å
α = 90.00°, β = 90.00°, γ = 116.56°
Positions (direct):
La 0.235 0.765 0.750
La 0.765 0.235 0.250
Ga 0.281 0.281 0.000
Ga 0.281 0.281 0.500
Ga 0.338 0.662 0.250
Ga 0.662 0.338 0.750
Ga 0.719 0.719 0.000
Ga 0.719 0.719 0.500
Pd 0.098 0.902 0.250
Pd 0.902 0.098 0.750

Most intense lines, 2θ from 5° to 70°, by angle:
2θ 27.71, d = 3.219 Å, rel. 22
2θ 32.70, d = 2.738 Å, rel. 62
2θ 32.88, d = 2.724 Å, rel. 100
2θ 34.46, d = 2.603 Å, rel. 66
2θ 41.10, d = 2.196 Å, rel. 95
2θ 47.38, d = 1.919 Å, rel. 19
2θ 48.35, d = 1.882 Å, rel. 19
2θ 52.38, d = 1.747 Å, rel. 26
2θ 54.80, d = 1.675 Å, rel. 23
2θ 61.73, d = 1.503 Å, rel. 25

=====

Record 12
Simulated X-ray diffraction stick pattern
Compound: Sm3Ga8
Radiation: Cu Kα (weighted mean of Kα1 and Kα2)
Structure: the PBE geometry in Alexandria
Kinematic intensities with the Lorentz-polarization factor, no thermal factor.

Crystal structure
a = 13.030 Å, b = 13.030 Å, c = 13.030 Å
α = 161.32°, β = 161.03°, γ = 26.75°
Positions (direct):
Sm 0.000 0.000 0.000
Sm 0.355 0.855 0.500
Sm 0.645 0.145 0.500
Ga 0.094 0.594 0.500
Ga 0.191 0.691 0.500
Ga 0.251 0.251 0.000
Ga 0.452 0.452 0.000
Ga 0.548 0.548 0.000
Ga 0.749 0.749 0.000
Ga 0.809 0.309 0.500
Ga 0.906 0.406 0.500

Most intense lines, 2θ from 5° to 70°, by angle:
2θ 30.49, d = 2.932 Å, rel. 16
2θ 32.55, d = 2.751 Å, rel. 48
2θ 32.91, d = 2.722 Å, rel. 100
2θ 38.21, d = 2.356 Å, rel. 13
2θ 42.07, d = 2.148 Å, rel. 27
2θ 42.76, d = 2.115 Å, rel. 27
2θ 44.62, d = 2.031 Å, rel. 28
2θ 54.18, d = 1.693 Å, rel. 23
2θ 61.55, d = 1.507 Å, rel. 18
2θ 63.51, d = 1.465 Å, rel. 19